No. 1
Structure and simulated powder diffraction line list of CsTlCdHg2 (a cell relaxed with PBE; Cu Kα, 1.54184 Å).
No peak broadening, texture or thermal motion is included.

Crystal structure
```
data_CsTlCdHg2
_chemical_formula_sum 'Cs2 Tl2 Cd2 Hg4'
_cell_length_a 5.120
_cell_length_b 5.120
_cell_length_c 13.516
_cell_angle_alpha 90.00
_cell_angle_beta 90.00
_cell_angle_gamma 90.00
_space_group_name_H-M_alt 'I -4 m 2'
_space_group_IT_number 119
_space_group_name_Hall 'I -4 -2'
loop_
_atom_site_label
_atom_site_type_symbol
_atom_site_fract_x
_atom_site_fract_y
_atom_site_fract_z
Cs1 Cs 0.000 0.000 0.000
Tl1 Tl 0.000 0.500 0.750
Cd1 Cd 0.000 0.500 0.250
Hg1 Hg 0.000 0.000 0.382
```

Top 10 peaks for 2θ from 10° to 80°, by angle:
- 2θ = 18.5°, rel. 38, (1 0 1)
- 2θ = 26.3°, rel. 74, (1 0 3)
- 2θ = 28.0°, rel. 100, (1 1 2)
- 2θ = 35.0°, rel. 86, (2 0 0)
- 2θ = 36.4°, rel. 74, (1 1 4)
- 2θ = 37.6°, rel. 50, (1 0 5)
- 2θ = 44.4°, rel. 37, (2 1 3)
- 2θ = 50.4°, rel. 31, (2 2 0)
- 2θ = 52.4°, rel. 37, (2 1 5)
- 2θ = 63.7°, rel. 29, (3 1 4)

No. 2
Structure and simulated powder diffraction line list of LaTlAgI5 (a cell relaxed with PBE; Cu Kα, 1.54184 Å).
No peak broadening, texture or thermal motion is included.

Crystal structure
```
data_LaTlAgI5
_chemical_formula_sum 'La4 Tl4 Ag4 I20'
_cell_length_a 10.033
_cell_length_b 13.959
_cell_length_c 11.653
_cell_angle_alpha 90.00
_cell_angle_beta 112.73
_cell_angle_gamma 90.00
_space_group_name_H-M_alt 'C 1 2/c 1'
_space_group_IT_number 15
_space_group_name_Hall '-C 2yc'
loop_
_atom_site_label
_atom_site_type_symbol
_atom_site_fract_x
_atom_site_fract_y
_atom_site_fract_z
La1 La 0.000 0.000 0.000
Tl1 Tl 0.000 0.375 0.250
Ag1 Ag 0.000 0.311 0.750
I1 I 0.000 0.096 0.250
I2 I 0.136 0.197 0.626
I3 I 0.177 0.435 0.948
```

Top 10 peaks for 2θ from 10° to 80°, by angle:
- 2θ = 16.8°, rel. 67, (1 1 -2)
- 2θ = 19.2°, rel. 35, (2 0 0)
- 2θ = 20.9°, rel. 38, (0 2 2)
- 2θ = 23.8°, rel. 52, (1 1 -3)
- 2θ = 24.3°, rel. 100, (1 3 1)
- 2θ = 30.0°, rel. 46, (2 0 2)
- 2θ = 32.6°, rel. 48, (2 4 -2)
- 2θ = 34.9°, rel. 39, (3 3 0)
- 2θ = 35.8°, rel. 39, (1 5 -2)
- 2θ = 40.4°, rel. 37, (4 0 -4)

No. 3
Structure and simulated powder diffraction line list of Ag3MoBr9 (a cell relaxed with PBE; Cu Kα, 1.54184 Å).
No peak broadening, texture or thermal motion is included.

Crystal structure
```
data_Ag3MoBr9
_chemical_formula_sum 'Ag12 Mo4 Br36'
_cell_length_a 18.757
_cell_length_b 10.071
_cell_length_c 12.827
_cell_angle_alpha 90.00
_cell_angle_beta 130.23
_cell_angle_gamma 90.00
_space_group_name_H-M_alt 'C 1 c 1'
_space_group_IT_number 9
_space_group_name_Hall 'C -2yc'
loop_
_atom_site_label
_atom_site_type_symbol
_atom_site_fract_x
_atom_site_fract_y
_atom_site_fract_z
Ag1 Ag 0.000 0.080 0.000
Ag2 Ag 0.012 0.285 0.808
Ag3 Ag 0.425 0.134 0.616
Mo1 Mo 0.130 0.348 0.598
Br1 Br 0.009 0.462 0.990
Br2 Br 0.096 0.303 0.376
Br3 Br 0.121 0.102 0.974
Br4 Br 0.165 0.379 0.819
Br5 Br 0.242 0.165 0.701
Br6 Br 0.244 0.481 0.157
Br7 Br 0.366 0.098 0.105
Br8 Br 0.381 0.374 0.528
Br9 Br 0.494 0.299 0.017
```

Top 10 peaks for 2θ from 10° to 80°, by angle:
- 2θ = 10.7°, rel. 42, (1 1 0)
- 2θ = 12.4°, rel. 100, (2 0 0)
- 2θ = 16.4°, rel. 80, (1 1 1)
- 2θ = 18.1°, rel. 52, (0 0 2)
- 2θ = 22.6°, rel. 43, (3 1 -3)
- 2θ = 26.9°, rel. 59, (4 2 -1)
- 2θ = 27.9°, rel. 100, (2 0 2)
- 2θ = 30.1°, rel. 52, (1 3 1)
- 2θ = 30.6°, rel. 40, (1 3 -2)
- 2θ = 35.9°, rel. 41, (5 3 -2)